# 1
The following is a theoretical X-ray powder pattern of LiNdCu3Se4. It was derived from a PBE-relaxed structure, using CuKα.
Neutral-atom scattering factors, no anomalous dispersion.

Structural model:
```
9
Lattice="5.960 0.000 0.000 0.000 5.960 0.000 0.000 0.000 5.960" Properties=species:S:1:pos:R:3 pbc="T T T"
Li 0.000 0.000 0.000
Nd 2.980 2.980 2.980
Cu 0.000 2.980 2.980
Cu 2.980 0.000 2.980
Cu 2.980 2.980 0.000
Se 1.417 1.417 1.417
Se 1.417 4.543 4.543
Se 4.543 1.417 4.543
Se 4.543 4.543 1.417
```

Principal peaks in the range 2θ = 10–90°, sorted by position:
14.86°, I 54
25.89°, I 62
33.63°, I 48
42.92°, I 100
45.67°, I 20
50.81°, I 27
62.32°, I 16
64.46°, I 15
68.65°, I 10
78.65°, I 31

=====

# 2
The following is a theoretical X-ray powder pattern of KAuSO. It was derived from a PBE-relaxed structure, using CuKα.
Neutral-atom scattering factors, no anomalous dispersion.

Structural model:
```
16
Lattice="4.771 0.000 0.000 0.000 8.640 0.000 -0.905 0.000 9.415" Properties=species:S:1:pos:R:3 pbc="T T T"
K 0.329 1.919 4.364
K -0.124 2.400 9.072
K 3.989 6.239 0.343
K 3.537 6.720 5.051
Au 2.177 0.457 1.962
Au 1.725 3.862 6.670
Au 2.141 4.777 2.745
Au 1.688 8.182 7.453
S 0.176 5.301 7.454
S 0.628 7.658 2.747
S 3.237 0.981 6.668
S 3.690 3.338 1.961
O 1.174 6.378 3.683
O 0.721 6.581 8.390
O 3.145 2.059 1.025
O 2.692 2.261 5.732
```

Principal peaks in the range 2θ = 10–90°, sorted by position:
18.69°, I 68
18.85°, I 61
22.65°, I 27
27.93°, I 100
28.03°, I 59
28.92°, I 27
30.11°, I 28
30.30°, I 22
32.85°, I 26
46.86°, I 32

=====

# 3
The following is a theoretical X-ray powder pattern of Cu4Ag. It was derived from a PBE-relaxed structure, using CuKα.
Neutral-atom scattering factors, no anomalous dispersion.

Structural model:
```
10
Lattice="1.347 0.778 21.074 -1.347 0.778 21.074 0.000 -1.556 21.074" Properties=species:S:1:pos:R:3 pbc="T T T"
Cu 0.000 0.000 0.000
Cu 0.000 0.000 6.539
Cu 0.000 0.000 12.553
Cu 0.000 0.000 19.092
Cu 0.000 0.000 31.611
Cu 0.000 0.000 44.130
Cu 0.000 0.000 50.669
Cu 0.000 0.000 56.684
Ag 0.000 0.000 25.339
Ag 0.000 0.000 37.884
```

Principal peaks in the range 2θ = 10–90°, sorted by position:
21.08°, I 3
41.24°, I 100
42.92°, I 27
48.49°, I 59
69.81°, I 19
72.19°, I 14
84.43°, I 11
85.56°, I 19
87.81°, I 7
89.55°, I 9

=====

# 4
The following is a theoretical X-ray powder pattern of Cu2Ag3. It was derived from a PBE-relaxed structure, using CuKα.
Neutral-atom scattering factors, no anomalous dispersion.

Structural model:
```
10
Lattice="4.748 -1.435 0.000 4.748 1.435 0.000 -1.701 0.000 11.397" Properties=species:S:1:pos:R:3 pbc="T T T"
Cu 0.000 0.000 0.000
Cu -0.214 0.000 7.856
Cu 0.954 0.000 4.607
Cu 4.006 0.000 5.825
Ag 2.709 0.000 1.130
Ag 2.490 0.000 9.083
Ag 5.269 0.000 2.322
Ag 5.046 0.000 10.176
Ag 6.617 0.000 6.691
Ag 7.840 0.000 3.697
```

Principal peaks in the range 2θ = 10–90°, sorted by position:
39.31°, I 99
39.68°, I 100
44.32°, I 74
49.01°, I 22
63.98°, I 13
65.00°, I 11
68.16°, I 14
68.23°, I 16
77.96°, I 22
78.68°, I 24

=====

# 5
The following is a theoretical X-ray powder pattern of Gd3Tl3Sn2Pb2. It was derived from a PBE-relaxed structure, using CuKα.
Neutral-atom scattering factors, no anomalous dispersion.

Structural model:
```
10
Lattice="2.347 -12.258 0.000 2.347 12.258 0.000 0.000 0.000 4.811" Properties=species:S:1:pos:R:3 pbc="T T T"
Gd 0.000 0.000 0.000
Gd 2.347 7.618 0.000
Gd 2.347 -7.618 0.000
Tl 2.347 5.057 2.405
Tl 2.347 0.000 2.405
Tl 2.347 -5.057 2.405
Sn 2.347 2.399 0.000
Sn 2.347 -2.399 0.000
Pb 2.347 9.838 2.405
Pb 2.347 -9.838 2.405
```

Principal peaks in the range 2θ = 10–90°, sorted by position:
32.30°, I 100
36.66°, I 16
37.39°, I 17
38.36°, I 16
53.36°, I 11
54.64°, I 12
63.28°, I 12
64.25°, I 14
65.57°, I 13
67.61°, I 11

=====

# 6
The following is a theoretical X-ray powder pattern of Gd2CuAgBi4. It was derived from a PBE-relaxed structure, using CuKα.
Neutral-atom scattering factors, no anomalous dispersion.

Structural model:
```
8
Lattice="4.560 0.000 0.000 0.000 4.560 0.000 0.000 0.000 9.975" Properties=species:S:1:pos:R:3 pbc="T T T"
Gd 0.000 2.280 2.430
Gd 2.280 0.000 7.545
Cu 2.280 2.280 0.000
Ag 0.000 0.000 0.000
Bi 0.000 0.000 4.987
Bi 0.000 2.280 8.174
Bi 2.280 0.000 1.800
Bi 2.280 2.280 4.987
```

Principal peaks in the range 2θ = 10–90°, sorted by position:
26.49°, I 11
26.81°, I 14
29.11°, I 18
33.08°, I 100
39.53°, I 39
48.41°, I 12
54.54°, I 12
57.13°, I 14
67.63°, I 26
82.58°, I 11

=====

# 7
The following is a theoretical X-ray powder pattern of US2. It was derived from a PBE-relaxed structure, using CuKα.
Neutral-atom scattering factors, no anomalous dispersion.

Structural model:
```
6
Lattice="6.239 0.000 0.000 0.000 6.239 0.000 0.000 0.000 4.135" Properties=species:S:1:pos:R:3 pbc="T T T"
U 0.000 0.000 0.000
U 3.119 3.119 2.067
S 1.211 1.211 2.067
S 1.909 4.330 0.000
S 4.330 1.909 0.000
S 5.028 5.028 2.067
```

Principal peaks in the range 2θ = 10–90°, sorted by position:
20.13°, I 100
25.85°, I 82
28.62°, I 24
38.94°, I 83
40.91°, I 21
46.00°, I 19
48.64°, I 21
49.03°, I 29
57.76°, I 16
65.71°, I 16

=====

# 8
The following is a theoretical X-ray powder pattern of Gd3Sn4Pb3. It was derived from a PBE-relaxed structure, using CuKα.
Neutral-atom scattering factors, no anomalous dispersion.

Structural model:
```
10
Lattice="2.319 -12.876 0.000 2.319 12.876 0.000 0.000 0.000 4.631" Properties=species:S:1:pos:R:3 pbc="T T T"
Gd 0.000 0.000 0.000
Gd 2.319 8.000 0.000
Gd 2.319 -8.000 0.000
Sn 2.319 10.334 2.315
Sn 2.319 5.389 2.315
Sn 2.319 -5.389 2.315
Sn 2.319 -10.334 2.315
Pb 2.319 2.522 0.000
Pb 2.319 0.000 2.315
Pb 2.319 -2.522 0.000
```

Principal peaks in the range 2θ = 10–90°, sorted by position:
32.38°, I 100
34.84°, I 18
38.86°, I 32
53.17°, I 23
56.13°, I 11
60.92°, I 13
66.30°, I 26
67.78°, I 11
86.46°, I 4
87.51°, I 10

=====

# 9
The following is a theoretical X-ray powder pattern of SnHg2S2Br2. It was derived from a PBE-relaxed structure, using CuKα.
Neutral-atom scattering factors, no anomalous dispersion.

Structural model:
```
28
Lattice="9.725 0.000 0.000 0.000 8.190 0.000 -7.052 0.000 10.814" Properties=species:S:1:pos:R:3 pbc="T T T"
Sn -1.622 0.694 4.605
Sn -5.149 3.401 10.012
Sn 7.821 4.789 0.802
Sn 4.295 7.496 6.209
Hg -1.951 4.488 6.730
Hg 1.575 7.797 1.323
Hg 1.368 5.607 4.051
Hg -2.158 6.678 9.458
Hg 4.831 1.512 1.356
Hg 1.304 2.583 6.763
Hg 1.097 0.393 9.491
Hg 4.623 3.702 4.084
S -3.682 5.568 7.979
S -0.156 6.717 2.572
S -3.936 0.718 10.673
S -0.410 3.377 5.266
S 3.082 4.813 5.548
S 6.609 7.472 0.141
S 2.828 1.473 8.241
S 6.354 2.622 2.835
Br -3.441 1.448 6.668
Br 0.086 2.647 1.261
Br 3.343 4.891 1.176
Br -0.183 7.394 6.583
Br 2.855 0.796 4.231
Br -0.671 3.299 9.638
Br 2.587 5.543 9.553
Br 6.113 6.742 4.146
```

Principal peaks in the range 2θ = 10–90°, sorted by position:
17.60°, I 46
20.04°, I 63
24.41°, I 79
24.83°, I 65
27.58°, I 100
28.86°, I 43
29.43°, I 43
30.01°, I 60
33.13°, I 68
36.88°, I 55

=====

# 10
The following is a theoretical X-ray powder pattern of CsCu2AgS2. It was derived from a PBE-relaxed structure, using CuKα.
Neutral-atom scattering factors, no anomalous dispersion.

Structural model:
```
6
Lattice="5.049 -2.816 0.000 5.049 2.816 0.000 -0.265 0.000 5.918" Properties=species:S:1:pos:R:3 pbc="T T T"
Cs 0.000 0.000 0.000
Cu 2.392 1.408 2.959
Cu 2.392 -1.408 2.959
Ag 4.916 0.000 2.959
S 3.044 0.000 4.472
S 6.789 0.000 1.446
```

Principal peaks in the range 2θ = 10–90°, sorted by position:
14.97°, I 21
22.65°, I 25
23.27°, I 34
23.77°, I 100
30.20°, I 27
34.02°, I 27
35.60°, I 24
36.55°, I 38
47.57°, I 27
48.66°, I 25

=====

# 11
The following is a theoretical X-ray powder pattern of InAuSeO. It was derived from a PBE-relaxed structure, using CuKα.
Neutral-atom scattering factors, no anomalous dispersion.

Structural model:
```
16
Lattice="5.647 0.000 0.000 0.000 5.621 0.000 -0.395 0.000 10.809" Properties=species:S:1:pos:R:3 pbc="T T T"
In -0.003 0.000 1.000
In 2.426 0.018 9.778
In 2.825 2.829 1.030
In 5.255 2.810 9.808
Au -0.269 0.153 7.768
Au 1.594 1.529 5.430
Au 3.657 4.339 5.378
Au 5.521 2.964 3.041
Se 1.595 1.248 2.995
Se 1.481 1.837 7.858
Se 3.771 4.647 2.951
Se 3.656 4.058 7.813
O 1.384 1.411 0.007
O 1.043 4.225 10.798
O 4.209 1.414 0.010
O 3.867 4.221 10.801
```

Principal peaks in the range 2θ = 10–90°, sorted by position:
22.33°, I 100
24.01°, I 36
27.48°, I 45
28.18°, I 41
32.93°, I 35
33.11°, I 79
33.98°, I 53
35.66°, I 41
41.79°, I 36
45.56°, I 57

=====

# 12
The following is a theoretical X-ray powder pattern of Tb3In3CuIrPd. It was derived from a PBE-relaxed structure, using CuKα.
Neutral-atom scattering factors, no anomalous dispersion.

Structural model:
```
9
Lattice="7.647 0.000 0.000 -3.823 6.622 0.000 0.000 0.000 3.867" Properties=species:S:1:pos:R:3 pbc="T T T"
Tb -2.165 3.942 0.000
Tb 1.492 2.777 0.000
Tb 0.673 6.527 0.000
In 1.924 0.023 1.934
In 2.882 4.945 1.934
In 6.665 1.654 1.934
Cu 0.000 0.000 0.000
Ir 0.000 4.415 1.934
Pd 3.823 2.207 1.934
```

Principal peaks in the range 2θ = 10–90°, sorted by position:
32.94°, I 100
35.70°, I 85
35.88°, I 54
40.88°, I 32
43.05°, I 24
47.00°, I 23
55.38°, I 17
60.51°, I 23
64.02°, I 17
66.07°, I 28

=====

# 13
The following is a theoretical X-ray powder pattern of H10OsC2S2N4Cl6. It was derived from a PBE-relaxed structure, using CuKα.
Neutral-atom scattering factors, no anomalous dispersion.

Structural model:
```
25
Lattice="7.142 0.000 0.000 3.146 6.486 0.000 0.365 1.545 7.752" Properties=species:S:1:pos:R:3 pbc="T T T"
H 1.007 1.722 1.172
H 1.516 2.595 7.312
H 5.003 6.923 3.048
H 5.564 7.228 6.622
H 5.715 5.359 2.696
H 4.938 2.672 5.056
H 5.089 0.803 1.130
H 5.650 1.108 4.705
H 9.137 5.436 0.440
H 9.646 6.309 6.580
Os 1.755 4.015 3.876
C 5.012 6.346 1.063
C 5.641 1.685 6.690
S 5.510 5.035 0.029
S 5.143 2.996 7.723
N 1.254 0.930 0.568
N 5.257 6.208 2.355
N 5.396 1.822 5.397
N 9.400 7.101 7.184
Cl 1.774 1.848 4.815
Cl 3.617 4.660 5.173
Cl 3.166 3.314 2.173
Cl 7.487 4.716 5.580
Cl 7.036 3.371 2.579
Cl 8.879 6.183 2.937
```

Principal peaks in the range 2θ = 10–90°, sorted by position:
11.41°, I 100
13.79°, I 70
13.92°, I 68
14.72°, I 61
16.21°, I 86
17.31°, I 50
17.54°, I 67
18.33°, I 83
19.71°, I 48
32.45°, I 49